Cs3U2Se4Cl3: theoretical X-ray diffraction stick pattern (Cu Kα (weighted mean of Kα1 and Kα2)), based on a DFT-relaxed cell (GGA-PBE, Alexandria).
Lines closer than 0.1° are merged.

The 6 most intense peaks (10° ≤ 2θ ≤ 90°), by angle:
d (Å)  2θ/deg  I_rel
4.042  22.0  51.1
4.021  22.1  85.6
3.906  22.8  100.0
2.949  30.3  45.2
2.775  32.3  52.2
2.749  32.6  50.8

Structural model:
```
Cs3U2Se4Cl3
1.0
-2.7486 2.7751 14.7461
2.7486 -2.7751 14.7461
2.7486 2.7751 -14.7461
Cs U Se Cl
3 2 4 3
Direct
0.0000 0.0000 0.0000
0.1876 0.1876 0.0000
0.8124 0.8124 0.0000
0.4027 0.4027 0.0000
0.5973 0.5973 0.0000
0.0908 0.5908 0.5000
0.3136 0.3136 0.0000
0.6864 0.6864 0.0000
0.9092 0.4092 0.5000
0.4118 0.9118 0.5000
0.5000 0.5000 0.0000
0.5882 0.0882 0.5000
```


Cs3SiCl7: theoretical X-ray diffraction stick pattern (Cu Kα (weighted mean of Kα1 and Kα2)), based on a DFT-relaxed cell (GGA-PBE, Alexandria).
Lines closer than 0.1° are merged.

The 6 most intense peaks (10° ≤ 2θ ≤ 90°), by angle:
d (Å)  2θ/deg  I_rel
4.140  21.5  91.5
3.829  23.2  42.1
3.642  24.4  36.5
3.559  25.0  46.1
3.183  28.0  77.2
2.831  31.6  100.0

Structural model:
```
Cs3SiCl7
1.0
10.0653 0.0000 0.0000
0.0000 10.0653 0.0000
0.0000 0.0000 7.2836
Cs Si Cl
6 2 14
Direct
0.0000 0.0000 0.0000
0.1811 0.3189 0.5000
0.3189 0.8189 0.5000
0.5000 0.5000 0.0000
0.6811 0.1811 0.5000
0.8189 0.6811 0.5000
0.0000 0.5000 0.0000
0.5000 0.0000 0.0000
0.0000 0.0000 0.5000
0.1115 0.6115 0.2186
0.1115 0.6115 0.7814
0.1565 0.3435 0.0000
0.3435 0.8435 0.0000
0.3885 0.1115 0.2186
0.3885 0.1115 0.7814
0.5000 0.5000 0.5000
0.6115 0.8885 0.2186
0.6115 0.8885 0.7814
0.6565 0.1565 0.0000
0.8435 0.6565 0.0000
0.8885 0.3885 0.2186
0.8885 0.3885 0.7814
```


CsSm2Cl7: theoretical X-ray diffraction stick pattern (Cu Kα (weighted mean of Kα1 and Kα2)), based on a DFT-relaxed cell (GGA-PBE, Alexandria).
Lines closer than 0.1° are merged.

The 6 most intense peaks (10° ≤ 2θ ≤ 90°), by angle:
d (Å)  2θ/deg  I_rel
7.156  12.4  47.0
4.718  18.8  100.0
3.587  24.8  49.7
2.531  35.5  33.6
2.374  37.9  22.5
2.265  39.8  26.2

Structural model:
```
CsSm2Cl7
1.0
14.3116 0.0000 0.0000
0.0000 7.1637 0.0000
0.0000 0.0000 13.0051
Cs Sm Cl
4 8 28
Direct
0.0323 0.2500 0.2031
0.4677 0.7500 0.7031
0.5323 0.2500 0.2969
0.9677 0.7500 0.7969
0.2403 0.2500 0.5474
0.2460 0.2500 0.8524
0.2540 0.7500 0.3524
0.2597 0.7500 0.0474
0.7403 0.2500 0.9526
0.7460 0.2500 0.6476
0.7540 0.7500 0.1476
0.7597 0.7500 0.4526
0.1172 0.7500 0.1982
0.1310 0.0098 0.4313
0.1310 0.4902 0.4313
0.1343 0.0091 0.9680
0.1343 0.4909 0.9680
0.1776 0.0115 0.7008
0.1776 0.4885 0.7008
0.3224 0.5115 0.2008
0.3224 0.9885 0.2008
0.3657 0.5091 0.4680
0.3657 0.9909 0.4680
0.3690 0.5098 0.9313
0.3690 0.9902 0.9313
0.3828 0.2500 0.6982
0.6172 0.7500 0.3018
0.6310 0.0098 0.0687
0.6310 0.4902 0.0687
0.6343 0.0091 0.5320
0.6343 0.4909 0.5320
0.6776 0.0115 0.7992
0.6776 0.4885 0.7992
0.8224 0.5115 0.2992
0.8224 0.9885 0.2992
0.8657 0.5091 0.0320
0.8657 0.9909 0.0320
0.8690 0.5098 0.5687
0.8690 0.9902 0.5687
0.8828 0.2500 0.8018
```


Cs3SmCl6: theoretical X-ray diffraction stick pattern (Cu Kα (weighted mean of Kα1 and Kα2)), based on a DFT-relaxed cell (GGA-PBE, Alexandria).
Lines closer than 0.1° are merged.

The 6 most intense peaks (10° ≤ 2θ ≤ 90°), by angle:
d (Å)  2θ/deg  I_rel
4.240  21.0  100.0
2.998  29.8  52.4
2.448  36.7  45.6
2.120  42.7  36.2
1.896  48.0  25.0
1.602  57.5  27.9

Structural model:
```
Cs3SmCl6
1.0
0.0000 5.9959 5.9959
5.9959 0.0000 5.9959
5.9959 5.9959 0.0000
Cs Sm Cl
3 1 6
Direct
0.0000 0.0000 0.0000
0.2500 0.2500 0.2500
0.7500 0.7500 0.7500
0.5000 0.5000 0.5000
0.2746 0.2746 0.7254
0.2746 0.7254 0.2746
0.2746 0.7254 0.7254
0.7254 0.2746 0.2746
0.7254 0.2746 0.7254
0.7254 0.7254 0.2746
```


Cs2SnCl4: theoretical X-ray diffraction stick pattern (Cu Kα (weighted mean of Kα1 and Kα2)), based on a DFT-relaxed cell (GGA-PBE, Alexandria).
Lines closer than 0.1° are merged.

The 6 most intense peaks (10° ≤ 2θ ≤ 90°), by angle:
d (Å)  2θ/deg  I_rel
4.047  22.0  100.0
3.970  22.4  90.8
2.941  30.4  31.4
2.808  31.9  70.9
2.307  39.0  47.2
2.023  44.8  33.3

Structural model:
```
Cs2SnCl4
1.0
5.6151 0.0000 0.0000
0.0000 5.6151 0.0000
0.0000 0.0000 17.5115
Cs Sn Cl
4 2 8
Direct
0.0000 0.0000 0.1417
0.0000 0.0000 0.8583
0.5000 0.5000 0.3583
0.5000 0.5000 0.6417
0.0000 0.0000 0.5000
0.5000 0.5000 0.0000
0.0000 0.0000 0.3379
0.0000 0.0000 0.6621
0.0000 0.5000 0.0000
0.0000 0.5000 0.5000
0.5000 0.0000 0.0000
0.5000 0.0000 0.5000
0.5000 0.5000 0.1621
0.5000 0.5000 0.8379
```


Cs2SnCl3: theoretical X-ray diffraction stick pattern (Cu Kα (weighted mean of Kα1 and Kα2)), based on a DFT-relaxed cell (GGA-PBE, Alexandria).
Lines closer than 0.1° are merged.

The 6 most intense peaks (10° ≤ 2θ ≤ 90°), by angle:
d (Å)  2θ/deg  I_rel
4.168  21.3  56.6
3.566  25.0  66.0
3.479  25.6  100.0
3.056  29.2  38.1
2.850  31.4  40.6
2.295  39.2  52.1

Structural model:
```
Cs2SnCl3
1.0
4.3915 0.0000 0.0000
0.0000 5.6991 0.0000
0.0000 0.0000 18.3359
Cs Sn Cl
4 2 6
Direct
0.0000 0.0000 0.1489
0.0000 0.0000 0.8511
0.5000 0.5000 0.3511
0.5000 0.5000 0.6489
0.0000 0.0000 0.5000
0.5000 0.5000 0.0000
0.0000 0.0000 0.3413
0.0000 0.0000 0.6587
0.0000 0.5000 0.5000
0.5000 0.0000 0.0000
0.5000 0.5000 0.1587
0.5000 0.5000 0.8413
```